Theoretical powder X-ray diffraction pattern
Compound: Tm7Si2Pb2
Radiation: CuKα
Structure: a cell relaxed with PBE
Neutral-atom scattering factors, no anomalous dispersion.

```
Tm7Si2Pb2
1.0
4.2909 -5.3329 0.0000
4.2909 5.3329 0.0000
0.0000 0.0000 6.8611
Tm Si Pb
7 2 2
direct
0.0000 0.0000 0.0000
0.0000 0.5000 0.2558
0.0000 0.5000 0.7442
0.5000 0.0000 0.2558
0.5000 0.0000 0.7442
0.5000 0.5000 0.2424
0.5000 0.5000 0.7576
0.2743 0.7257 0.0000
0.7257 0.2743 0.0000
0.1864 0.1864 0.5000
0.8136 0.8136 0.5000
```

Main lines, by intensity (5 to 70 degrees two-theta):
d_spacing  2theta  intensity
2.394  37.57  100
2.666  33.61  65
3.343  26.66  62
3.052  29.26  59
2.885  31.00  44
3.638  24.47  33
2.372  37.92  33
2.563  35.01  24
1.481  62.72  22
3.005  29.73  20


Theoretical powder X-ray diffraction pattern
Compound: USiPb
Radiation: CuKα
Structure: a cell relaxed with PBE
Neutral-atom scattering factors, no anomalous dispersion.

```
USiPb
1.0
2.4277 -7.0817 0.0000
2.4277 7.0817 0.0000
0.0000 0.0000 3.8249
U Si Pb
2 2 2
direct
0.0595 0.9405 0.7500
0.9405 0.0595 0.2500
0.4420 0.5580 0.7500
0.5580 0.4420 0.2500
0.2622 0.7378 0.2500
0.7378 0.2622 0.7500
```

Main lines, by intensity (5 to 70 degrees two-theta):
d_spacing  2theta  intensity
2.535  35.41  100
4.593  19.32  33
2.428  37.03  26
1.421  65.69  17
3.365  26.49  16
3.541  25.15  15
1.678  54.69  15
2.361  38.12  13
1.912  47.55  13
1.502  61.75  12


Theoretical powder X-ray diffraction pattern
Compound: SiPb2W
Radiation: CuKα
Structure: a cell relaxed with PBE
Neutral-atom scattering factors, no anomalous dispersion.

```
SiPb2W
1.0
3.3016 0.0000 0.0000
0.0000 3.3016 0.0000
0.0000 0.0000 8.5176
Si Pb W
1 2 1
direct
0.0000 0.0000 0.0000
0.0000 0.0000 0.3662
0.5000 0.5000 0.7377
0.5000 0.5000 0.1101
```

Main lines, by intensity (5 to 70 degrees two-theta):
d_spacing  2theta  intensity
2.609  34.37  100
3.078  29.01  86
2.335  38.56  70
1.803  50.62  43
2.839  31.51  39
2.153  41.97  32
1.395  67.09  30
1.651  55.68  25
1.427  65.39  20
1.455  64.00  19


Theoretical powder X-ray diffraction pattern
Compound: ZnSiPb2
Radiation: CuKα
Structure: a cell relaxed with PBE
Neutral-atom scattering factors, no anomalous dispersion.

```
ZnSiPb2
1.0
3.5973 -2.0642 0.0000
3.5973 2.0642 0.0000
-2.3851 0.0000 6.8610
Zn Si Pb
1 1 2
direct
0.0000 0.0000 0.0000
0.6884 0.6884 0.0623
0.2383 0.2383 0.7152
0.4462 0.4462 0.3471
```

Main lines, by intensity (5 to 70 degrees two-theta):
d_spacing  2theta  intensity
2.942  30.38  100
2.700  33.18  51
3.528  25.24  41
2.074  43.65  35
2.711  33.04  26
2.287  39.40  20
3.542  25.14  20
1.785  51.19  18
2.064  43.86  17
1.690  54.27  14


Theoretical powder X-ray diffraction pattern
Compound: ZrSiPb4
Radiation: CuKα
Structure: a cell relaxed with PBE
Neutral-atom scattering factors, no anomalous dispersion.

```
ZrSiPb4
1.0
0.0000 4.4191 4.4191
4.4191 0.0000 4.4191
4.4191 4.4191 0.0000
Zr Si Pb
1 1 4
direct
0.0000 0.0000 0.0000
0.7500 0.7500 0.7500
0.3750 0.3750 0.3750
0.3750 0.3750 0.8750
0.3750 0.8750 0.3750
0.8750 0.3750 0.3750
```

Main lines, by intensity (5 to 70 degrees two-theta):
d_spacing  2theta  intensity
2.665  33.63  100
2.551  35.17  81
5.103  17.38  67
1.562  59.13  36
1.701  53.90  35
2.210  40.84  29
2.028  44.69  20
1.494  62.13  16
1.348  69.78  12
3.125  28.57  5


Theoretical powder X-ray diffraction pattern
Compound: Sm3Pb5
Radiation: CuKα
Structure: a cell relaxed with PBE
Neutral-atom scattering factors, no anomalous dispersion.

```
Sm3Pb5
1.0
4.7199 -5.2431 0.0000
4.7199 5.2431 0.0000
0.0000 0.0000 4.7798
Sm Pb
3 5
direct
0.0000 0.0000 0.0000
0.2802 0.7198 0.5000
0.7198 0.2802 0.5000
0.0000 0.5000 0.0000
0.2301 0.2301 0.5000
0.5000 0.0000 0.0000
0.5000 0.5000 0.0000
0.7699 0.7699 0.5000
```

Main lines, by intensity (5 to 70 degrees two-theta):
d_spacing  2theta  intensity
2.828  31.64  100
2.622  34.20  19
2.390  37.64  17
2.360  38.13  15
1.451  64.20  14
1.550  59.64  14
1.766  51.76  12
1.414  66.08  12
1.437  64.88  11
1.754  52.15  11


Theoretical powder X-ray diffraction pattern
Compound: Sm5Pb4
Radiation: CuKα
Structure: a cell relaxed with PBE
Neutral-atom scattering factors, no anomalous dispersion.

```
Sm5Pb4
1.0
8.3613 0.0000 0.0000
0.0000 15.9584 0.0000
0.0000 0.0000 8.4679
Sm Pb
20 16
direct
0.0324 0.1007 0.1768
0.0324 0.3993 0.1768
0.1230 0.6195 0.3417
0.1230 0.8805 0.3417
0.2096 0.2500 0.5030
0.2904 0.7500 0.0030
0.3770 0.1195 0.8417
0.3770 0.3805 0.8417
0.4676 0.6007 0.6768
0.4676 0.8993 0.6768
0.5324 0.1007 0.3232
0.5324 0.3993 0.3232
0.6230 0.6195 0.1583
0.6230 0.8805 0.1583
0.7096 0.2500 0.9970
0.7904 0.7500 0.4970
0.8770 0.1195 0.6583
0.8770 0.3805 0.6583
0.9676 0.6007 0.8232
0.9676 0.8993 0.8232
0.0732 0.2500 0.8764
0.1576 0.7500 0.6486
0.2190 0.0430 0.5336
0.2190 0.4570 0.5336
0.2810 0.5430 0.0336
0.2810 0.9570 0.0336
0.3424 0.2500 0.1486
0.4268 0.7500 0.3764
0.5732 0.2500 0.6236
0.6576 0.7500 0.8514
0.7190 0.0430 0.9664
0.7190 0.4570 0.9664
0.7810 0.5430 0.4664
0.7810 0.9570 0.4664
0.8424 0.2500 0.3514
0.9268 0.7500 0.1236
```

Main lines, by intensity (5 to 70 degrees two-theta):
d_spacing  2theta  intensity
3.080  28.99  100
2.732  32.78  59
2.638  33.99  56
3.064  29.14  40
2.975  30.04  37
2.647  33.86  34
2.612  34.34  33
2.813  31.82  31
2.660  33.70  28
2.904  30.79  26


Theoretical powder X-ray diffraction pattern
Compound: Sm7Sn2Pb2
Radiation: CuKα
Structure: a cell relaxed with PBE
Neutral-atom scattering factors, no anomalous dispersion.

```
Sm7Sn2Pb2
1.0
4.4505 -5.7375 0.0000
4.4505 5.7375 0.0000
0.0000 0.0000 7.3334
Sm Sn Pb
7 2 2
direct
0.0000 0.0000 0.0000
0.0000 0.5000 0.2823
0.0000 0.5000 0.7177
0.5000 0.0000 0.2823
0.5000 0.0000 0.7177
0.5000 0.5000 0.2585
0.5000 0.5000 0.7415
0.2772 0.7228 0.0000
0.7228 0.2772 0.0000
0.1814 0.1814 0.5000
0.8186 0.8186 0.5000
```

Main lines, by intensity (5 to 70 degrees two-theta):
d_spacing  2theta  intensity
2.538  35.37  100
2.870  31.17  60
3.805  23.38  42
3.251  27.43  33
1.585  58.20  25
3.516  25.33  20
2.291  39.33  19
2.674  33.51  17
2.233  40.39  16
1.545  59.87  16


Theoretical powder X-ray diffraction pattern
Compound: Sm4SnPb2
Radiation: CuKα
Structure: a cell relaxed with PBE
Neutral-atom scattering factors, no anomalous dispersion.

```
Sm4SnPb2
1.0
-4.7829 4.7829 4.7762
4.7829 -4.7829 4.7762
4.7829 4.7829 -4.7762
Sm Sn Pb
8 2 4
direct
0.1221 0.2349 0.7496
0.1226 0.7353 0.7504
0.2647 0.0151 0.3873
0.4853 0.3726 0.2504
0.6274 0.8779 0.1127
0.6279 0.8774 0.6127
0.7651 0.5147 0.8873
0.9849 0.3721 0.2496
0.0000 0.0000 0.0000
0.7500 0.2500 0.5000
0.2507 0.6250 0.1257
0.3750 0.5007 0.6257
0.4993 0.1250 0.8743
0.8750 0.7493 0.3743
```

Main lines, by intensity (5 to 70 degrees two-theta):
d_spacing  2theta  intensity
3.024  29.54  100
2.555  35.12  64
1.551  59.61  29
1.875  48.55  22
2.138  42.27  16
1.475  63.01  14
1.952  46.53  14
2.038  44.44  12
1.512  61.33  11
3.903  22.79  8


Theoretical powder X-ray diffraction pattern
Compound: SmTlSnPb
Radiation: CuKα
Structure: a cell relaxed with PBE
Neutral-atom scattering factors, no anomalous dispersion.

```
SmTlSnPb
1.0
4.7478 0.0000 0.0000
0.0000 4.8048 0.0000
0.0000 0.0000 4.9164
Sm Tl Sn Pb
1 1 1 1
direct
0.0000 0.0000 0.0000
0.5000 0.5000 0.0000
0.5000 0.0000 0.5000
0.0000 0.5000 0.5000
```

Main lines, by intensity (5 to 70 degrees two-theta):
d_spacing  2theta  intensity
2.784  32.16  100
2.458  36.55  18
2.402  37.43  17
2.374  37.90  16
1.474  63.05  15
1.450  64.23  14
1.437  64.86  14
1.392  67.27  12
1.718  53.32  12
1.708  53.67  12


Theoretical powder X-ray diffraction pattern
Compound: Sr4SmPb5
Radiation: CuKα
Structure: a cell relaxed with PBE
Neutral-atom scattering factors, no anomalous dispersion.

```
Sr4SmPb5
1.0
4.0852 0.0000 0.0000
0.0000 4.0852 0.0000
0.0000 0.0000 20.6555
Sr Sm Pb
4 1 5
direct
0.0000 0.0000 0.1047
0.0000 0.0000 0.3120
0.0000 0.0000 0.6880
0.0000 0.0000 0.8953
0.0000 0.0000 0.5000
0.5000 0.5000 0.0000
0.5000 0.5000 0.2109
0.5000 0.5000 0.4178
0.5000 0.5000 0.5822
0.5000 0.5000 0.7891
```

Main lines, by intensity (5 to 70 degrees two-theta):
d_spacing  2theta  intensity
2.905  30.78  100
2.889  30.96  56
1.671  54.95  40
2.043  44.35  21
4.085  21.76  15
1.680  54.62  13
1.452  64.12  8
1.444  64.52  7
2.066  43.83  6
2.632  34.06  6


Theoretical powder X-ray diffraction pattern
Compound: Tb8Sm6Pb
Radiation: CuKα
Structure: a cell relaxed with PBE
Neutral-atom scattering factors, no anomalous dispersion.

```
Tb8Sm6Pb
1.0
9.3835 0.0000 0.0000
-4.6918 8.1264 0.0000
0.0000 0.0000 6.5009
Tb Sm Pb
8 6 1
direct
0.0375 0.7720 0.1817
0.2280 0.2656 0.1817
0.2656 0.0375 0.8183
0.3333 0.6667 0.1505
0.6667 0.3333 0.8495
0.7344 0.9625 0.1817
0.7720 0.7344 0.8183
0.9625 0.2280 0.8183
0.0918 0.6428 0.6755
0.3572 0.4490 0.6755
0.4490 0.0918 0.3245
0.5510 0.9082 0.6755
0.6428 0.5510 0.3245
0.9082 0.3572 0.3245
0.0000 0.0000 0.5000
```

Main lines, by intensity (5 to 70 degrees two-theta):
d_spacing  2theta  intensity
2.777  32.23  100
2.672  33.54  28
1.773  51.55  24
3.446  25.86  20
3.071  29.07  20
3.018  29.60  15
2.232  40.40  13
1.495  62.10  12
1.792  50.96  11
2.709  33.07  10